This entry pairs a crystal structure of Li4Ni3BiO8 with its simulated X-ray diffraction stick pattern. Radiation: Cu Ka. Structure: the PBE+U geometry in Alexandria.
Neutral-atom scattering factors, no anomalous dispersion.

Cell lengths 10.4539, 6.0922, 10.4902 Å; angles 90.00, 109.09, 90.00 degrees
Space group C2/c (No. 15)
Symmetry-distinct sites (fractional):
Li1 0.2416 0.0169 0.2357 [8 per cell]
Li2 0.2500 0.2500 0.0000 [4 per cell]
Li3 0.2500 0.2500 0.5000 [4 per cell]
Ni1 0.0000 0.0000 0.0000 [4 per cell]
Ni2 0.0000 0.2482 0.2500 [4 per cell]
Ni3 0.0000 0.5000 0.0000 [4 per cell]
Bi1 0.0000 0.2536 0.7500 [4 per cell]
O1 0.1048 0.2314 0.1113 [8 per cell]
O2 0.1170 0.0018 0.8784 [8 per cell]
O3 0.1207 0.4958 0.3721 [8 per cell]
O4 0.1238 0.2503 0.6247 [8 per cell]

Peak list (10 most intense, 5° ≤ 2θ ≤ 70°, low angle first)
2theta, intensity, (hkl)
17.94, 100.0, 2 0 0
20.65, 13.1, 1 1 1
29.49, 11.0, 1 1 -3
34.57, 35.2, 0 2 2
34.80, 17.2, 2 0 -4
36.24, 21.3, 0 0 4
42.01, 32.5, 2 2 2
42.39, 16.0, 4 0 -4
46.18, 15.4, 4 2 -2
61.12, 9.8, 2 2 -6